1.
Starting from a structure optimized by DFT (GGA-PBE), the X-ray diffraction stick pattern of CoPdPbCl6 was simulated for Cu Kα, 1.54184 Å.
Neutral-atom scattering factors, no anomalous dispersion.

Largest 6 diffraction maxima, low angle first, 10 to 90 degrees two-theta:
| Position (°2θ) | d (Å) | I/Imax |
| --- | --- | --- |
| 21.26 | 4.179 | 100 |
| 21.36 | 4.159 | 50 |
| 27.52 | 3.241 | 22 |
| 40.06 | 2.251 | 35 |
| 40.12 | 2.247 | 31 |
| 45.26 | 2.003 | 19 |

Crystal structure
```
data_CoPdPbCl6
_chemical_formula_sum 'Co1 Pd1 Pb1 Cl6'
_cell_length_a 6.483
_cell_length_b 6.483
_cell_length_c 6.251
_cell_angle_alpha 90.14
_cell_angle_beta 90.14
_cell_angle_gamma 120.40
_symmetry_space_group_name_H-M 'P 1'
_symmetry_Int_Tables_number 1
_symmetry_space_group_name_Hall 'P 1'
loop_
_atom_site_label
_atom_site_fract_x
_atom_site_fract_y
_atom_site_fract_z
Co1 0.000 0.000 0.000
Pd1 0.333 0.667 0.000
Pb1 0.667 0.333 0.500
Cl1 0.028 0.320 0.223
Cl2 0.031 0.708 0.774
Cl3 0.292 0.969 0.226
Cl4 0.298 0.321 0.777
Cl5 0.679 0.702 0.223
Cl6 0.680 0.972 0.777
```



2.
Starting from a structure optimized by DFT (GGA-PBE), the X-ray diffraction stick pattern of La2CePrNd2 was simulated for Cu Kα, 1.54184 Å.
Neutral-atom scattering factors, no anomalous dispersion.

Largest 6 diffraction maxima, low angle first, 10 to 90 degrees two-theta:
| Position (°2θ) | d (Å) | I/Imax |
| --- | --- | --- |
| 28.24 | 3.160 | 100 |
| 29.63 | 3.015 | 92 |
| 29.88 | 2.990 | 94 |
| 33.13 | 2.704 | 68 |
| 35.36 | 2.538 | 51 |
| 40.31 | 2.237 | 63 |

Crystal structure
```
data_La2CePrNd2
_chemical_formula_sum 'La4 Ce2 Pr2 Nd4'
_cell_length_a 6.746
_cell_length_b 18.090
_cell_length_c 3.443
_cell_angle_alpha 90.00
_cell_angle_beta 90.00
_cell_angle_gamma 90.00
_symmetry_space_group_name_H-M 'P 1'
_symmetry_Int_Tables_number 1
_symmetry_space_group_name_Hall 'P 1'
loop_
_atom_site_label
_atom_site_fract_x
_atom_site_fract_y
_atom_site_fract_z
La1 0.199 0.146 0.000
La2 0.301 0.646 0.500
La3 0.699 0.354 0.500
La4 0.801 0.854 0.000
Ce1 0.000 0.000 0.500
Ce2 0.500 0.500 0.000
Pr1 0.000 0.500 0.500
Pr2 0.500 0.000 0.000
Nd1 0.216 0.319 0.500
Nd2 0.284 0.819 0.000
Nd3 0.716 0.181 0.000
Nd4 0.784 0.681 0.500
```



3.
Starting from a structure optimized by DFT (GGA-PBE), the X-ray diffraction stick pattern of Li3PrSm2Te6 was simulated for Cu Kα, 1.54184 Å.
Neutral-atom scattering factors, no anomalous dispersion.

Largest 6 diffraction maxima, low angle first, 10 to 90 degrees two-theta:
| Position (°2θ) | d (Å) | I/Imax |
| --- | --- | --- |
| 12.48 | 7.090 | 22 |
| 23.50 | 3.785 | 22 |
| 28.64 | 3.117 | 100 |
| 40.62 | 2.221 | 39 |
| 41.28 | 2.187 | 36 |
| 50.46 | 1.809 | 21 |

Crystal structure
```
data_Li3PrSm2Te6
_chemical_formula_sum 'Li3 Pr1 Sm2 Te6'
_cell_length_a 7.694
_cell_length_b 7.694
_cell_length_c 7.540
_cell_angle_alpha 99.79
_cell_angle_beta 99.79
_cell_angle_gamma 120.01
_symmetry_space_group_name_H-M 'P 1'
_symmetry_Int_Tables_number 1
_symmetry_space_group_name_Hall 'P 1'
loop_
_atom_site_label
_atom_site_fract_x
_atom_site_fract_y
_atom_site_fract_z
Li1 0.000 0.000 0.000
Li2 0.333 0.667 0.000
Li3 0.667 0.333 0.000
Pr1 0.500 0.500 0.500
Sm1 0.167 0.833 0.500
Sm2 0.833 0.167 0.500
Te1 0.075 0.413 0.239
Te2 0.249 0.249 0.762
Te3 0.413 0.075 0.239
Te4 0.587 0.925 0.761
Te5 0.751 0.751 0.238
Te6 0.925 0.587 0.761
```



4.
Starting from a structure optimized by DFT (GGA-PBE), the X-ray diffraction stick pattern of KHg3Pd2 was simulated for Cu Kα, 1.54184 Å.
Neutral-atom scattering factors, no anomalous dispersion.

Largest 6 diffraction maxima, low angle first, 10 to 90 degrees two-theta:
| Position (°2θ) | d (Å) | I/Imax |
| --- | --- | --- |
| 12.54 | 7.058 | 59 |
| 15.82 | 5.600 | 30 |
| 25.24 | 3.529 | 23 |
| 29.93 | 2.985 | 40 |
| 39.68 | 2.272 | 100 |
| 41.28 | 2.187 | 28 |

Crystal structure
```
data_KHg3Pd2
_chemical_formula_sum 'K2 Hg6 Pd4'
_cell_length_a 7.212
_cell_length_b 7.212
_cell_length_c 5.936
_cell_angle_alpha 90.00
_cell_angle_beta 90.00
_cell_angle_gamma 78.12
_symmetry_space_group_name_H-M 'P 1'
_symmetry_Int_Tables_number 1
_symmetry_space_group_name_Hall 'P 1'
loop_
_atom_site_label
_atom_site_fract_x
_atom_site_fract_y
_atom_site_fract_z
K1 0.146 0.854 0.750
K2 0.854 0.146 0.250
Hg1 0.034 0.572 0.250
Hg2 0.428 0.966 0.250
Hg3 0.467 0.533 0.250
Hg4 0.533 0.467 0.750
Hg5 0.572 0.034 0.750
Hg6 0.966 0.428 0.750
Pd1 0.288 0.288 0.000
Pd2 0.288 0.288 0.500
Pd3 0.712 0.712 0.000
Pd4 0.712 0.712 0.500
```